[1]
This entry pairs a crystal structure of TlInBIr2 with its computed powder X-ray diffraction pattern. Radiation: Cu Kα. Structure: a cell relaxed with GGA-PBE.
Lines closer than 0.1° are merged.

Cell and atoms:
abc: 5.041 5.041 4.181
angles: 90.00 90.00 90.00
Sites, in units of the cell vectors:
Tl  0.000  0.000  0.000
In  0.500  0.500  0.500
B  0.500  0.500  0.000
Ir  0.000  0.500  0.500
Ir  0.500  0.000  0.500

Largest 12 diffraction maxima, by angle, 15° ≤ 2θ ≤ 90°:
2theta  d/Å  I (rel.)
21.25  4.181  28
27.72  3.218  68
33.03  2.712  100
35.62  2.520  92
41.85  2.158  20
43.28  2.090  27
45.73  1.984  36
51.26  1.782  33
57.26  1.609  47
62.34  1.489  33
69.29  1.356  27
86.31  1.127  15



[2]
This entry pairs a crystal structure of Ta4Os3Rh with its computed powder X-ray diffraction pattern. Radiation: Cu Kα. Structure: a cell relaxed with GGA-PBE.
Lines closer than 0.1° are merged.

Cell and atoms:
abc: 7.710 7.710 4.282
angles: 106.01 106.01 32.24
Sites, in units of the cell vectors:
Ta  0.127  0.127  0.127
Ta  0.373  0.373  0.373
Ta  0.627  0.627  0.627
Ta  0.873  0.873  0.873
Os  0.000  0.000  0.500
Os  0.251  0.251  0.751
Os  0.749  0.749  0.249
Rh  0.500  0.500  0.000

Largest 12 diffraction maxima, by angle, 15° ≤ 2θ ≤ 90°:
2theta  d/Å  I (rel.)
39.11  2.303  100
42.21  2.141  41
51.52  1.774  12
61.22  1.514  14
68.69  1.366  15
68.80  1.365  5
75.07  1.265  23
75.15  1.264  8
83.98  1.152  6
84.13  1.151  6
88.78  1.102  5
88.89  1.101  5



[3]
This entry pairs a crystal structure of RbMg3Cd9 with its computed powder X-ray diffraction pattern. Radiation: Cu Kα. Structure: a cell relaxed with GGA-PBE.
Lines closer than 0.1° are merged.

Cell and atoms:
abc: 7.929 7.929 7.733
angles: 98.13 98.13 134.92
Sites, in units of the cell vectors:
Rb  0.000  0.000  0.000
Mg  0.000  0.000  0.500
Mg  0.000  0.500  0.000
Mg  0.500  0.000  0.000
Cd  0.016  0.663  0.650
Cd  0.277  0.501  0.779
Cd  0.337  0.984  0.350
Cd  0.499  0.723  0.221
Cd  0.500  0.500  0.500
Cd  0.501  0.277  0.779
Cd  0.663  0.016  0.650
Cd  0.723  0.499  0.221
Cd  0.984  0.337  0.350

Largest 12 diffraction maxima, by angle, 15° ≤ 2θ ≤ 90°:
2theta  d/Å  I (rel.)
24.30  3.663  31
29.39  3.039  83
29.74  3.004  64
34.53  2.597  83
34.66  2.588  100
34.98  2.565  84
35.42  2.534  68
38.29  2.350  36
38.50  2.338  54
38.96  2.312  50
39.16  2.301  35
39.59  2.277  37



[4]
This entry pairs a crystal structure of Mg3Al18Mo2 with its computed powder X-ray diffraction pattern. Radiation: Cu Kα. Structure: a cell relaxed with GGA-PBE.
Lines closer than 0.1° are merged.

Cell and atoms:
abc: 10.373 10.373 10.373
angles: 60.00 60.00 60.00
Sites, in units of the cell vectors:
Mg  0.000  0.000  0.000
Mg  0.000  0.000  0.500
Mg  0.000  0.500  0.000
Mg  0.125  0.125  0.125
Mg  0.500  0.000  0.000
Mg  0.875  0.875  0.875
Al  0.059  0.323  0.323
Al  0.059  0.323  0.795
Al  0.059  0.795  0.323
Al  0.205  0.677  0.677
Al  0.205  0.677  0.941
Al  0.205  0.941  0.677
Al  0.233  0.233  0.517
Al  0.233  0.517  0.233
Al  0.233  0.517  0.517
Al  0.323  0.059  0.323
Al  0.323  0.059  0.795
Al  0.323  0.323  0.059
Al  0.323  0.323  0.795
Al  0.323  0.795  0.059
Al  0.323  0.795  0.323
Al  0.483  0.483  0.767
Al  0.483  0.767  0.483
Al  0.483  0.767  0.767
Al  0.517  0.233  0.233
Al  0.517  0.233  0.517
Al  0.517  0.517  0.233
Al  0.677  0.205  0.677
Al  0.677  0.205  0.941
Al  0.677  0.677  0.205
Al  0.677  0.677  0.941
Al  0.677  0.941  0.205
Al  0.677  0.941  0.677
Al  0.767  0.483  0.483
Al  0.767  0.483  0.767
Al  0.767  0.767  0.483
Al  0.795  0.059  0.323
Al  0.795  0.323  0.059
Al  0.795  0.323  0.323
Al  0.941  0.205  0.677
Al  0.941  0.677  0.205
Al  0.941  0.677  0.677
Mo  0.000  0.500  0.500
Mo  0.500  0.000  0.500
Mo  0.500  0.500  0.000
Mo  0.500  0.500  0.500

Largest 12 diffraction maxima, by angle, 15° ≤ 2θ ≤ 90°:
2theta  d/Å  I (rel.)
20.07  4.423  37
20.98  4.235  28
24.27  3.668  18
34.59  2.593  31
38.82  2.320  17
40.31  2.237  58
40.80  2.212  100
42.70  2.117  30
44.08  2.054  45
66.20  1.412  28
72.96  1.297  31
76.57  1.244  16



[5]
This entry pairs a crystal structure of MgAg2AsS4 with its computed powder X-ray diffraction pattern. Radiation: Cu Kα. Structure: a cell relaxed with GGA-PBE.
Lines closer than 0.1° are merged.

Cell and atoms:
abc: 5.839 5.839 6.923
angles: 114.89 114.91 90.07
Sites, in units of the cell vectors:
Mg  0.000  0.000  0.000
Ag  0.501  0.500  0.001
Ag  0.751  0.250  0.501
As  0.251  0.750  0.500
S  0.131  0.642  0.744
S  0.359  0.387  0.258
S  0.613  0.101  0.744
S  0.900  0.870  0.258

Largest 12 diffraction maxima, by angle, 15° ≤ 2θ ≤ 90°:
2theta  d/Å  I (rel.)
17.15  5.170  17
26.90  3.315  100
28.52  3.129  7
30.62  2.919  11
35.31  2.542  8
43.86  2.064  21
45.03  2.013  39
52.20  1.752  29
54.26  1.691  10
72.24  1.308  7
81.42  1.182  9
86.84  1.122  7



[6]
This entry pairs a crystal structure of InAg2I4 with its computed powder X-ray diffraction pattern. Radiation: Cu Kα. Structure: a cell relaxed with GGA-PBE.
Lines closer than 0.1° are merged.

Cell and atoms:
abc: 6.565 6.565 6.767
angles: 90.00 90.00 90.00
Sites, in units of the cell vectors:
In  0.000  0.000  0.000
Ag  0.000  0.500  0.500
Ag  0.500  0.000  0.500
I  0.269  0.269  0.254
I  0.269  0.731  0.746
I  0.731  0.269  0.746
I  0.731  0.731  0.254

Largest 12 diffraction maxima, by angle, 15° ≤ 2θ ≤ 90°:
2theta  d/Å  I (rel.)
18.83  4.712  6
23.24  3.828  100
33.26  2.693  6
38.20  2.356  51
38.80  2.321  24
44.66  2.029  17
45.71  1.985  30
56.03  1.641  7
60.62  1.528  12
68.65  1.367  8
69.84  1.347  14
85.66  1.134  6



[7]
This entry pairs a crystal structure of SrNi2Sb2 with its computed powder X-ray diffraction pattern. Radiation: Cu Kα. Structure: a cell relaxed with GGA-PBE.
Lines closer than 0.1° are merged.

Cell and atoms:
abc: 6.309 6.423 7.258
angles: 103.42 102.55 119.08
Sites, in units of the cell vectors:
Sr  0.126  0.375  0.249
Sr  0.874  0.625  0.751
Ni  0.143  0.250  0.785
Ni  0.357  0.967  0.216
Ni  0.643  0.033  0.784
Ni  0.857  0.750  0.215
Sb  0.266  0.013  0.536
Sb  0.478  0.729  0.959
Sb  0.522  0.271  0.041
Sb  0.734  0.987  0.464

Largest 12 diffraction maxima, by angle, 15° ≤ 2θ ≤ 90°:
2theta  d/Å  I (rel.)
17.20  5.154  69
17.47  5.076  30
25.96  3.432  39
26.14  3.409  39
30.94  2.891  39
31.90  2.806  99
32.48  2.757  25
32.64  2.743  57
34.77  2.580  38
35.18  2.551  100
44.83  2.022  61
48.09  1.892  40



[8]
This entry pairs a crystal structure of NdNpS4 with its computed powder X-ray diffraction pattern. Radiation: Cu Kα. Structure: a cell relaxed with GGA-PBE.
Lines closer than 0.1° are merged.

Cell and atoms:
abc: 6.351 6.351 4.156
angles: 90.00 90.00 90.88
Sites, in units of the cell vectors:
Nd  0.000  0.000  0.000
Np  0.500  0.500  0.500
S  0.211  0.211  0.500
S  0.318  0.682  0.000
S  0.682  0.318  0.000
S  0.789  0.789  0.500

Largest 12 diffraction maxima, by angle, 15° ≤ 2θ ≤ 90°:
2theta  d/Å  I (rel.)
19.62  4.525  70
19.92  4.456  62
25.62  3.478  100
28.10  3.175  27
38.22  2.355  58
38.56  2.335  49
40.49  2.228  16
43.55  2.078  14
45.37  1.999  14
48.23  1.887  52
64.32  1.448  17
64.73  1.440  20



[9]
This entry pairs a crystal structure of AcErAlPb with its computed powder X-ray diffraction pattern. Radiation: Cu Kα. Structure: a cell relaxed with GGA-PBE.
Lines closer than 0.1° are merged.

Cell and atoms:
abc: 5.525 5.525 5.525
angles: 60.00 60.00 60.00
Sites, in units of the cell vectors:
Ac  0.000  0.000  0.000
Er  0.500  0.500  0.500
Al  0.750  0.750  0.750
Pb  0.250  0.250  0.250

Largest 12 diffraction maxima, by angle, 15° ≤ 2θ ≤ 90°:
2theta  d/Å  I (rel.)
19.68  4.511  20
22.76  3.907  7
32.41  2.763  100
38.20  2.356  12
46.49  1.953  19
50.94  1.793  5
57.81  1.595  39
61.68  1.504  4
67.85  1.381  12
71.42  1.321  4
77.22  1.235  17
86.24  1.128  4



[10]
This entry pairs a crystal structure of TmCu2Cl6 with its computed powder X-ray diffraction pattern. Radiation: Cu Kα. Structure: a cell relaxed with GGA-PBE.
Lines closer than 0.1° are merged.

Cell and atoms:
abc: 9.096 9.096 6.663
angles: 103.04 103.04 84.31
Sites, in units of the cell vectors:
Tm  0.088  0.912  0.750
Tm  0.912  0.088  0.250
Cu  0.330  0.510  0.853
Cu  0.490  0.670  0.647
Cu  0.510  0.330  0.353
Cu  0.670  0.490  0.147
Cl  0.053  0.178  0.640
Cl  0.114  0.650  0.856
Cl  0.178  0.053  0.140
Cl  0.319  0.458  0.487
Cl  0.350  0.886  0.644
Cl  0.458  0.319  0.987
Cl  0.542  0.681  0.013
Cl  0.650  0.114  0.356
Cl  0.681  0.542  0.513
Cl  0.822  0.947  0.860
Cl  0.886  0.350  0.144
Cl  0.947  0.822  0.360

Largest 12 diffraction maxima, by angle, 15° ≤ 2θ ≤ 90°:
2theta  d/Å  I (rel.)
15.38  5.761  97
18.84  4.711  100
20.07  4.425  33
21.97  4.045  61
25.79  3.454  80
27.80  3.209  46
30.62  2.919  71
30.81  2.902  63
35.15  2.553  59
40.26  2.240  37
43.37  2.086  41
46.10  1.969  38



[11]
This entry pairs a crystal structure of Ag5AuO4 with its computed powder X-ray diffraction pattern. Radiation: Cu Kα. Structure: a cell relaxed with GGA-PBE.
Lines closer than 0.1° are merged.

Cell and atoms:
abc: 6.666 9.566 5.010
angles: 90.00 90.00 90.00
Sites, in units of the cell vectors:
Ag  0.028  0.095  0.219
Ag  0.028  0.405  0.219
Ag  0.250  0.250  0.627
Ag  0.472  0.095  0.219
Ag  0.472  0.405  0.219
Ag  0.528  0.595  0.781
Ag  0.528  0.905  0.781
Ag  0.750  0.750  0.373
Ag  0.972  0.595  0.781
Ag  0.972  0.905  0.781
Au  0.250  0.750  0.414
Au  0.750  0.250  0.586
O  0.006  0.750  0.093
O  0.250  0.536  0.454
O  0.250  0.964  0.454
O  0.494  0.750  0.093
O  0.506  0.250  0.907
O  0.750  0.036  0.546
O  0.750  0.464  0.546
O  0.994  0.250  0.907

Largest 12 diffraction maxima, by angle, 15° ≤ 2θ ≤ 90°:
2theta  d/Å  I (rel.)
25.75  3.459  23
32.26  2.775  42
32.75  2.735  43
33.31  2.690  100
33.63  2.665  79
37.10  2.423  24
37.47  2.400  17
45.29  2.002  26
46.75  1.943  35
54.08  1.696  26
65.94  1.417  18
69.52  1.352  19



[12]
This entry pairs a crystal structure of Ta2InS4 with its computed powder X-ray diffraction pattern. Radiation: Cu Kα. Structure: a cell relaxed with GGA-PBE.
Lines closer than 0.1° are merged.

Cell and atoms:
abc: 8.711 8.711 8.711
angles: 157.73 45.31 141.06
Sites, in units of the cell vectors:
Ta  0.250  0.000  0.250
Ta  0.750  0.000  0.750
In  0.028  0.028  0.000
S  0.181  0.334  0.847
S  0.487  0.334  0.153
S  0.680  0.333  0.347
S  0.987  0.333  0.653

Largest 12 diffraction maxima, by angle, 15° ≤ 2θ ≤ 90°:
2theta  d/Å  I (rel.)
16.23  5.461  14
22.12  4.019  32
30.74  2.909  57
32.75  2.735  28
38.20  2.356  100
45.12  2.010  9
46.06  1.971  21
54.71  1.678  14
55.59  1.653  26
59.73  1.548  10
68.57  1.368  12
78.62  1.217  9



[13]
This entry pairs a crystal structure of Mg2CuTc with its computed powder X-ray diffraction pattern. Radiation: Cu Kα. Structure: a cell relaxed with GGA-PBE.
Lines closer than 0.1° are merged.

Cell and atoms:
abc: 2.811 3.716 6.019
angles: 90.00 90.00 90.00
Sites, in units of the cell vectors:
Mg  0.000  0.000  0.244
Mg  0.000  0.000  0.756
Cu  0.500  0.500  0.000
Tc  0.500  0.500  0.500

Largest 12 diffraction maxima, by angle, 15° ≤ 2θ ≤ 90°:
2theta  d/Å  I (rel.)
23.95  3.716  50
29.68  3.010  29
31.83  2.811  24
38.49  2.339  100
40.22  2.242  88
44.08  2.054  67
49.02  1.858  24
50.78  1.798  25
61.64  1.505  12
68.03  1.378  35
76.19  1.249  24
79.56  1.205  22